For Rb2MoI6O18, a structure optimized by DFT (GGA+U) gives the simulated powder diffraction line list in this record (λ = 1.5418 Å (Cu Kα)).

Principal peaks in the range 2θ = 5–70°, low angle first:
Position (°2θ), intensity
23.1, 30
24.2, 60
26.2, 54
27.3, 100
32.5, 48
48.9, 22

Crystal structure
a = 7.863 Å, b = 7.863 Å, c = 7.863 Å
α = 97.29°, β = 97.29°, γ = 97.29°
Sites, in units of the cell vectors:
Rb1 0.170 0.170 0.170
Rb2 0.830 0.830 0.830
Mo1 0.500 0.500 0.500
I1 0.129 0.704 0.333
I2 0.296 0.667 0.871
I3 0.333 0.129 0.704
I4 0.667 0.871 0.296
I5 0.704 0.333 0.129
I6 0.871 0.296 0.667
O1 0.092 0.691 0.098
O2 0.098 0.092 0.691
O3 0.098 0.607 0.714
O4 0.286 0.902 0.393
O5 0.293 0.547 0.333
O6 0.309 0.902 0.908
O7 0.333 0.293 0.547
O8 0.393 0.286 0.902
O9 0.453 0.667 0.707
O10 0.547 0.333 0.293
O11 0.607 0.714 0.098
O12 0.667 0.707 0.453
O13 0.691 0.098 0.092
O14 0.707 0.453 0.667
O15 0.714 0.098 0.607
O16 0.902 0.393 0.286
O17 0.902 0.908 0.309
O18 0.908 0.309 0.902